[1]
Simulated X-ray diffraction stick pattern
Compound: CsV2O5
Radiation: Cu Kα
Structure: a structure optimized by DFT (PBE+U)
Intensities are scaled so that the largest is 100.

Main lines, in order of rising 2θ (2θ from 15° to 90°):
2theta  d [Å]  Rel. int.  (hkl)
23.4  3.799  100.0  1 0 1
30.3  2.947  44.1  1 1 0
31.5  2.843  8.8  0 0 2
36.2  2.484  10.2  1 0 2
38.7  2.329  17.2  2 0 1
44.3  2.046  19.2  1 1 2
49.9  1.827  23.9  2 1 1
51.4  1.777  9.1  1 0 3
60.9  1.522  8.5  2 0 3
68.3  1.374  9.1  3 1 1

Cell and atoms:
Cell lengths 5.8950, 5.8950, 5.6868 Å; angles 90.00, 90.00, 120.00 degrees
Space group P6mm (No. 183)
One atom of each set of equivalent atoms:
Cs  0.0000  0.0000  0.0000
V  0.3333  0.6667  0.5260
O  0.0000  0.5000  0.6406
O  0.3333  0.6667  0.2356

---

[2]
Simulated X-ray diffraction stick pattern
Compound: Cs2V3O8
Radiation: Cu Kα
Structure: a structure optimized by DFT (PBE+U)
Intensities are scaled so that the largest is 100.

Main lines, in order of rising 2θ (2θ from 15° to 90°):
2theta  d [Å]  Rel. int.  (hkl)
24.3  3.662  28.4  2 0 1
26.2  3.396  100.0  2 1 1
28.8  3.095  18.1  0 0 2
31.1  2.873  19.9  3 1 0
36.5  2.462  11.5  2 1 2
41.0  2.203  10.6  4 1 0
43.0  2.105  11.9  3 1 2
43.6  2.076  12.7  4 1 1
49.6  1.840  14.0  2 1 3
56.5  1.628  9.9  5 2 1

Cell and atoms:
Cell lengths 9.084, 9.084, 6.190 Å; angles 90.00, 90.00, 90.00 degrees
Space group P4bm (No. 100)
One atom of each set of equivalent atoms:
Cs  0.172  0.328  0.000
V  0.000  0.000  0.526
V  0.133  0.633  0.523
O  0.000  0.000  0.260
O  0.000  0.500  0.629
O  0.084  0.807  0.621
O  0.129  0.629  0.254

---

[3]
Simulated X-ray diffraction stick pattern
Compound: CsV3O7
Radiation: Cu Kα
Structure: a structure optimized by DFT (PBE+U)
Intensities are scaled so that the largest is 100.

Main lines, in order of rising 2θ (2θ from 15° to 90°):
2theta  d [Å]  Rel. int.  (hkl)
16.4  5.392  100.0  1 0 0
21.2  4.200  94.7  0 1 1
26.6  3.348  37.1  0 0 2
31.5  2.844  47.6  0 1 2
31.7  2.823  60.0  1 1 1
35.9  2.501  62.5  2 0 1
44.5  2.038  17.3  2 1 0
52.6  1.741  30.9  2 1 2
52.7  1.736  20.0  3 0 1
53.3  1.719  27.6  2 0 3

Cell and atoms:
Cell lengths 6.2265, 6.2265, 6.6950 Å; angles 90.00, 90.00, 120.00 degrees
Space group P3m1 (No. 156)
One atom of each set of equivalent atoms:
Cs  0.0000  0.0000  0.0000
V  0.1857  0.3715  0.4912
O  0.0571  0.5286  0.6498
O  0.2712  0.1356  0.4148
O  0.3333  0.6667  0.3238

---

[4]
Simulated X-ray diffraction stick pattern
Compound: Cs2V5O13
Radiation: Cu Kα
Structure: a structure optimized by DFT (PBE+U)
Intensities are scaled so that the largest is 100.

Main lines, in order of rising 2θ (2θ from 15° to 90°):
2theta  d [Å]  Rel. int.  (hkl)
15.6  5.663  20.0  1 1 0
21.4  4.161  43.0  1 1 2
26.6  3.353  100.0  2 0 2
31.6  2.831  34.5  2 2 0
33.2  2.697  21.9  1 1 4
38.4  2.342  16.2  3 1 2
45.3  2.002  14.1  4 0 0
46.5  1.953  17.3  3 1 4
53.3  1.719  20.5  4 2 2
69.8  1.348  14.1  2 2 8

Cell and atoms:
Cell lengths 8.008, 8.008, 12.267 Å; angles 90.00, 90.00, 90.00 degrees
Space group I4mm (No. 107)
One atom of each set of equivalent atoms:
Cs  0.000  0.500  0.000
V  0.000  0.000  0.388
V  0.220  0.220  0.750
O  0.000  0.000  0.521
O  0.000  0.263  0.772
O  0.169  0.169  0.347
O  0.224  0.224  0.127

---

[5]
Simulated X-ray diffraction stick pattern
Compound: Cs2VO4
Radiation: Cu Kα
Structure: a structure optimized by DFT (PBE+U)
Intensities are scaled so that the largest is 100.

Main lines, in order of rising 2θ (2θ from 15° to 90°):
2theta  d [Å]  Rel. int.  (hkl)
16.8  5.290  21.3  2 0 0
19.0  4.671  32.8  0 2 2
25.4  3.501  100.0  2 2 2
26.7  3.341  18.2  0 0 4
27.3  3.266  15.4  0 4 0
31.7  2.825  13.3  2 0 4
38.6  2.335  18.8  0 4 4
39.1  2.302  15.3  4 2 2
43.7  2.073  18.0  4 0 4
46.4  1.958  16.4  2 2 6

Cell and atoms:
Cell lengths 10.580, 13.062, 13.365 Å; angles 90.00, 90.00, 90.00 degrees
Space group Fmmm (No. 69)
One atom of each set of equivalent atoms:
Cs  0.000  0.000  0.250
Cs  0.000  0.233  0.000
V  0.250  0.250  0.250
O  0.157  0.172  0.174

---

[6]
Simulated X-ray diffraction stick pattern
Compound: CsW3O9
Radiation: Cu Kα
Structure: a structure optimized by DFT (PBE+U)
Intensities are scaled so that the largest is 100.

Main lines, in order of rising 2θ (2θ from 15° to 90°):
2theta  d [Å]  Rel. int.  (hkl)
22.9  3.890  24.0  0 0 1
26.7  3.342  43.1  1 0 1
27.3  3.267  100.0  2 0 0
33.1  2.708  24.3  1 1 1
35.9  2.502  22.0  2 0 1
43.4  2.085  14.3  2 1 1
48.3  1.886  25.0  2 2 0
54.9  1.671  28.9  2 0 2
56.3  1.633  15.6  4 0 0
69.4  1.354  16.5  2 2 2

Cell and atoms:
Cell lengths 7.5439, 7.5439, 3.8898 Å; angles 90.00, 90.00, 120.00 degrees
Space group P6/mmm (No. 191)
One atom of each set of equivalent atoms:
Cs  0.0000  0.0000  0.0000
W  0.0000  0.5000  0.5000
O  0.0000  0.5000  0.0000
O  0.2112  0.4224  0.5000

---

What did the fifth record say?
Simulated X-ray diffraction stick pattern
Compound: Cs2VO4
Radiation: Cu Kα
Structure: a structure optimized by DFT (PBE+U)
Intensities are scaled so that the largest is 100.

Main lines, in order of rising 2θ (2θ from 15° to 90°):
2theta  d [Å]  Rel. int.  (hkl)
16.8  5.290  21.3  2 0 0
19.0  4.671  32.8  0 2 2
25.4  3.501  100.0  2 2 2
26.7  3.341  18.2  0 0 4
27.3  3.266  15.4  0 4 0
31.7  2.825  13.3  2 0 4
38.6  2.335  18.8  0 4 4
39.1  2.302  15.3  4 2 2
43.7  2.073  18.0  4 0 4
46.4  1.958  16.4  2 2 6

Cell and atoms:
Cell lengths 10.580, 13.062, 13.365 Å; angles 90.00, 90.00, 90.00 degrees
Space group Fmmm (No. 69)
One atom of each set of equivalent atoms:
Cs  0.000  0.000  0.250
Cs  0.000  0.233  0.000
V  0.250  0.250  0.250
O  0.157  0.172  0.174